1.
Starting from a DFT-relaxed cell (GGA-PBE, Alexandria), the powder diffraction line list of SrB4Pd12 was computed for CuKα.

The 12 most intense peaks (2θ from 10° to 80°), sorted by position:
31.78 deg, rel. 10; 35.65 deg, rel. 100; 39.18 deg, rel. 19; 42.47 deg, rel. 57; 45.56 deg, rel. 4; 51.30 deg, rel. 6; 54.00 deg, rel. 9; 56.62 deg, rel. 9; 59.15 deg, rel. 12; 68.72 deg, rel. 25; 71.01 deg, rel. 12; 73.27 deg, rel. 23

Cell: 6.897 6.897 6.897 Å, 109.47 109.47 109.47°
Fractional positions:
Sr 0.000 0.000 0.000
B 0.000 0.000 0.500
B 0.000 0.500 0.000
B 0.500 0.000 0.000
B 0.500 0.500 0.500
Pd 0.140 0.325 0.815
Pd 0.185 0.510 0.325
Pd 0.185 0.860 0.675
Pd 0.325 0.185 0.510
Pd 0.325 0.815 0.140
Pd 0.490 0.675 0.815
Pd 0.510 0.325 0.185
Pd 0.675 0.185 0.860
Pd 0.675 0.815 0.490
Pd 0.815 0.140 0.325
Pd 0.815 0.490 0.675
Pd 0.860 0.675 0.185

=====

2.
Starting from a DFT-relaxed cell (GGA-PBE, Alexandria), the powder diffraction line list of Al2CuSi2O8F was computed for CuKα.

The 12 most intense peaks (2θ from 10° to 80°), sorted by position:
20.75 deg, rel. 24; 21.64 deg, rel. 100; 26.96 deg, rel. 84; 27.71 deg, rel. 16; 32.28 deg, rel. 14; 32.80 deg, rel. 20; 32.95 deg, rel. 20; 35.14 deg, rel. 18; 37.66 deg, rel. 36; 38.73 deg, rel. 16; 42.06 deg, rel. 20; 64.33 deg, rel. 26

Cell: 4.886 8.985 14.901 Å, 90.00 108.84 90.00°
Fractional positions:
Al 0.055 0.133 0.453
Al 0.055 0.367 0.953
Al 0.350 0.633 0.453
Al 0.350 0.867 0.953
Al 0.650 0.133 0.047
Al 0.650 0.367 0.547
Al 0.945 0.633 0.047
Al 0.945 0.867 0.547
Cu 0.103 0.650 0.250
Cu 0.103 0.850 0.750
Cu 0.897 0.150 0.250
Cu 0.897 0.350 0.750
Si 0.242 0.558 0.646
Si 0.242 0.942 0.146
Si 0.445 0.560 0.853
Si 0.445 0.940 0.353
Si 0.555 0.060 0.647
Si 0.555 0.440 0.147
Si 0.758 0.058 0.854
Si 0.758 0.442 0.354
O 0.048 0.535 0.355
O 0.048 0.965 0.855
O 0.079 0.741 0.480
O 0.079 0.759 0.980
O 0.161 0.038 0.356
O 0.161 0.462 0.856
O 0.175 0.741 0.647
O 0.175 0.759 0.147
O 0.258 0.017 0.560
O 0.258 0.483 0.060
O 0.369 0.740 0.852
O 0.369 0.760 0.352
O 0.371 0.508 0.561
O 0.371 0.992 0.061
O 0.490 0.524 0.750
O 0.490 0.976 0.250
O 0.510 0.024 0.750
O 0.510 0.476 0.250
O 0.629 0.008 0.939
O 0.629 0.492 0.439
O 0.631 0.240 0.648
O 0.631 0.260 0.148
O 0.742 0.517 0.940
O 0.742 0.983 0.440
O 0.825 0.241 0.853
O 0.825 0.259 0.353
O 0.839 0.538 0.144
O 0.839 0.962 0.644
O 0.921 0.241 0.020
O 0.921 0.259 0.520
O 0.952 0.035 0.145
O 0.952 0.465 0.645
F 0.369 0.247 0.966
F 0.369 0.253 0.466
F 0.631 0.747 0.534
F 0.631 0.753 0.034

=====

3.
Starting from a DFT-relaxed cell (GGA-PBE, Alexandria), the powder diffraction line list of Dy3Tm4In was computed for CuKα.

The 12 most intense peaks (2θ from 10° to 80°), sorted by position:
29.28 deg, rel. 12; 29.60 deg, rel. 24; 32.25 deg, rel. 37; 33.52 deg, rel. 50; 33.81 deg, rel. 100; 44.34 deg, rel. 15; 52.12 deg, rel. 19; 58.32 deg, rel. 10; 58.50 deg, rel. 20; 62.63 deg, rel. 21; 63.16 deg, rel. 11; 63.93 deg, rel. 15

Cell: 11.104 6.945 6.100 Å, 90.00 90.00 90.00°
Fractional positions:
Dy 0.000 0.129 0.000
Dy 0.241 0.116 0.341
Dy 0.259 0.884 0.841
Dy 0.500 0.871 0.500
Dy 0.741 0.884 0.841
Dy 0.759 0.116 0.341
Tm 0.000 0.376 0.533
Tm 0.000 0.629 0.012
Tm 0.241 0.624 0.359
Tm 0.259 0.376 0.859
Tm 0.500 0.371 0.512
Tm 0.500 0.624 0.033
Tm 0.741 0.376 0.859
Tm 0.759 0.624 0.359
In 0.000 0.870 0.519
In 0.500 0.130 0.019

=====

4.
Starting from a DFT-relaxed cell (GGA-PBE, Alexandria), the powder diffraction line list of TaNb2FeSe10 was computed for CuKα.

The 12 most intense peaks (2θ from 10° to 80°), sorted by position:
15.55 deg, rel. 66; 17.70 deg, rel. 16; 17.86 deg, rel. 15; 31.06 deg, rel. 100; 35.66 deg, rel. 37; 37.02 deg, rel. 41; 38.51 deg, rel. 33; 41.38 deg, rel. 16; 42.07 deg, rel. 33; 44.17 deg, rel. 25; 51.74 deg, rel. 24; 64.43 deg, rel. 13

Cell: 10.033 3.534 10.140 Å, 90.00 111.20 90.00°
Fractional positions:
Ta 0.000 0.000 0.000
Nb 0.242 0.000 0.549
Nb 0.833 0.500 0.291
Fe 0.078 0.500 0.813
Se 0.029 0.000 0.284
Se 0.049 0.500 0.561
Se 0.197 0.500 0.069
Se 0.251 0.000 0.821
Se 0.358 0.500 0.422
Se 0.451 0.500 0.672
Se 0.622 0.000 0.170
Se 0.718 0.000 0.420
Se 0.806 0.500 0.010
Se 0.899 0.000 0.743

=====

5.
Starting from a DFT-relaxed cell (GGA-PBE, Alexandria), the powder diffraction line list of Mn2Al2Te was computed for CuKα.

The 12 most intense peaks (2θ from 10° to 80°), sorted by position:
18.70 deg, rel. 37; 26.50 deg, rel. 86; 32.61 deg, rel. 56; 37.89 deg, rel. 56; 40.25 deg, rel. 81; 42.59 deg, rel. 100; 46.84 deg, rel. 31; 50.85 deg, rel. 61; 54.52 deg, rel. 21; 61.80 deg, rel. 25; 68.44 deg, rel. 21; 71.54 deg, rel. 41

Cell: 6.712 6.712 3.366 Å, 90.00 90.00 90.00°
Fractional positions:
Mn 0.155 0.345 0.000
Mn 0.345 0.845 0.000
Mn 0.655 0.155 0.000
Mn 0.845 0.655 0.000
Al 0.139 0.639 0.500
Al 0.361 0.139 0.500
Al 0.639 0.861 0.500
Al 0.861 0.361 0.500
Te 0.000 0.000 0.000
Te 0.500 0.500 0.000

=====

6.
Starting from a DFT-relaxed cell (GGA-PBE, Alexandria), the powder diffraction line list of KLa2F6 was computed for CuKα.

The 12 most intense peaks (2θ from 10° to 80°), sorted by position:
19.11 deg, rel. 7; 22.04 deg, rel. 14; 25.92 deg, rel. 100; 28.83 deg, rel. 8; 30.59 deg, rel. 12; 42.54 deg, rel. 46; 43.81 deg, rel. 22; 49.34 deg, rel. 17; 51.61 deg, rel. 29; 63.69 deg, rel. 7; 68.09 deg, rel. 12; 79.63 deg, rel. 13

Cell: 9.739 9.739 9.739 Å, 155.50 155.50 34.92°
Fractional positions:
K 0.000 0.000 0.000
La 0.334 0.334 0.000
La 0.666 0.666 0.000
F 0.096 0.596 0.500
F 0.250 0.750 0.500
F 0.404 0.904 0.500
F 0.596 0.096 0.500
F 0.750 0.250 0.500
F 0.904 0.404 0.500

=====

7.
Starting from a DFT-relaxed cell (GGA-PBE, Alexandria), the powder diffraction line list of GaAg4Au5 was computed for CuKα.

The 12 most intense peaks (2θ from 10° to 80°), sorted by position:
21.74 deg, rel. 17; 30.29 deg, rel. 16; 37.39 deg, rel. 100; 37.79 deg, rel. 97; 42.85 deg, rel. 34; 43.88 deg, rel. 32; 44.31 deg, rel. 31; 62.94 deg, rel. 11; 74.62 deg, rel. 13; 76.34 deg, rel. 12; 76.70 deg, rel. 18; 79.73 deg, rel. 11

Cell: 5.072 5.831 6.544 Å, 76.55 75.66 74.90°
Fractional positions:
Ga 0.000 0.000 0.000
Ag 0.205 0.796 0.601
Ag 0.394 0.599 0.201
Ag 0.606 0.401 0.799
Ag 0.795 0.204 0.399
Au 0.000 0.500 0.000
Au 0.200 0.293 0.608
Au 0.389 0.099 0.199
Au 0.611 0.901 0.801
Au 0.800 0.707 0.392

=====

8.
Starting from a DFT-relaxed cell (GGA-PBE, Alexandria), the powder diffraction line list of GeH3I was computed for CuKα.

The 12 most intense peaks (2θ from 10° to 80°), sorted by position:
18.40 deg, rel. 27; 21.94 deg, rel. 100; 23.13 deg, rel. 22; 23.99 deg, rel. 47; 26.10 deg, rel. 9; 30.65 deg, rel. 30; 33.56 deg, rel. 18; 33.79 deg, rel. 19; 40.99 deg, rel. 18; 41.81 deg, rel. 25; 41.89 deg, rel. 10; 48.56 deg, rel. 10

Cell: 6.344 4.836 7.419 Å, 90.00 90.08 90.00°
Fractional positions:
Ge 0.077 0.000 0.250
Ge 0.923 0.500 0.750
H 0.088 0.316 0.250
H 0.170 0.873 0.079
H 0.170 0.873 0.422
H 0.830 0.373 0.578
H 0.830 0.373 0.921
H 0.912 0.816 0.750
I 0.313 0.370 0.751
I 0.687 0.870 0.249

=====

9.
Starting from a DFT-relaxed cell (GGA-PBE, Alexandria), the powder diffraction line list of Na6B7C5 was computed for CuKα.

The 9 most intense peaks (2θ from 10° to 80°), sorted by position:
20.99 deg, rel. 1; 36.35 deg, rel. 18; 42.35 deg, rel. 100; 42.73 deg, rel. 26; 57.32 deg, rel. 10; 65.40 deg, rel. 17; 69.52 deg, rel. 1; 77.20 deg, rel. 2; 77.98 deg, rel. 12

Cell: 4.943 4.943 8.465 Å, 90.00 90.00 120.00°
Fractional positions:
Na 0.000 0.666 0.250
Na 0.000 0.666 0.750
Na 0.334 0.334 0.250
Na 0.334 0.334 0.750
Na 0.666 0.000 0.250
Na 0.666 0.000 0.750
B 0.000 0.000 0.000
B 0.000 0.000 0.500
B 0.000 0.347 0.000
B 0.333 0.667 0.500
B 0.347 0.000 0.000
B 0.653 0.653 0.000
B 0.667 0.333 0.500
C 0.000 0.333 0.500
C 0.333 0.000 0.500
C 0.333 0.667 0.000
C 0.667 0.333 0.000
C 0.667 0.667 0.500

=====

10.
Starting from a DFT-relaxed cell (GGA-PBE, Alexandria), the powder diffraction line list of Ce4Sb8Pt3 was computed for CuKα.

The 12 most intense peaks (2θ from 10° to 80°), sorted by position:
27.38 deg, rel. 8; 34.09 deg, rel. 100; 34.65 deg, rel. 10; 37.73 deg, rel. 10; 40.29 deg, rel. 10; 40.47 deg, rel. 41; 47.83 deg, rel. 8; 52.15 deg, rel. 8; 56.51 deg, rel. 12; 58.56 deg, rel. 14; 68.02 deg, rel. 7; 69.53 deg, rel. 25

Cell: 4.458 4.458 19.076 Å, 90.00 90.00 90.00°
Fractional positions:
Ce 0.000 0.500 0.114
Ce 0.000 0.500 0.623
Ce 0.500 0.000 0.377
Ce 0.500 0.000 0.886
Sb 0.000 0.000 0.246
Sb 0.000 0.000 0.754
Sb 0.000 0.500 0.413
Sb 0.000 0.500 0.922
Sb 0.500 0.000 0.078
Sb 0.500 0.000 0.587
Sb 0.500 0.500 0.246
Sb 0.500 0.500 0.754
Pt 0.000 0.000 0.000
Pt 0.000 0.000 0.500
Pt 0.500 0.500 0.500

=====

11.
Starting from a DFT-relaxed cell (GGA-PBE, Alexandria), the powder diffraction line list of Mg6TiGa was computed for CuKα.

The 12 most intense peaks (2θ from 10° to 80°), sorted by position:
16.09 deg, rel. 22; 17.92 deg, rel. 16; 24.18 deg, rel. 14; 33.99 deg, rel. 34; 36.30 deg, rel. 42; 37.37 deg, rel. 65; 38.68 deg, rel. 100; 50.58 deg, rel. 21; 58.95 deg, rel. 18; 66.90 deg, rel. 18; 71.24 deg, rel. 20; 74.45 deg, rel. 15

Cell: 4.949 6.009 11.016 Å, 90.00 90.00 90.00°
Fractional positions:
Mg 0.000 0.000 0.000
Mg 0.000 0.000 0.497
Mg 0.000 0.245 0.755
Mg 0.000 0.255 0.255
Mg 0.000 0.500 0.500
Mg 0.000 0.500 0.997
Mg 0.000 0.745 0.255
Mg 0.000 0.755 0.755
Mg 0.500 0.249 0.094
Mg 0.500 0.251 0.594
Mg 0.500 0.749 0.594
Mg 0.500 0.751 0.094
Ti 0.500 0.000 0.846
Ti 0.500 0.500 0.346
Ga 0.500 0.000 0.341
Ga 0.500 0.500 0.841

=====

12.
Starting from a DFT-relaxed cell (GGA-PBE, Alexandria), the powder diffraction line list of SrPr2ZrO6 was computed for CuKα.

The 12 most intense peaks (2θ from 10° to 80°), sorted by position:
20.51 deg, rel. 26; 28.65 deg, rel. 100; 29.67 deg, rel. 93; 41.72 deg, rel. 42; 46.24 deg, rel. 28; 50.11 deg, rel. 15; 52.03 deg, rel. 43; 52.66 deg, rel. 29; 61.61 deg, rel. 12; 62.35 deg, rel. 9; 67.73 deg, rel. 11; 69.33 deg, rel. 16

Cell: 6.239 6.239 6.239 Å, 57.71 57.71 57.71°
Fractional positions:
Sr 0.000 0.000 0.000
Pr 0.272 0.272 0.272
Pr 0.776 0.776 0.776
Zr 0.488 0.488 0.488
O 0.120 0.657 0.400
O 0.219 0.589 0.841
O 0.400 0.120 0.657
O 0.589 0.841 0.219
O 0.657 0.400 0.120
O 0.841 0.219 0.589